Record 1
Structure and calculated PXRD pattern of Pu2SnHg (DFT lattice parameters and positions (GGA-PBE); a wavelength of 1.5418 Å).
Intensities are scaled so that the largest is 100.

The 6 most intense peaks (2θ from 15° to 90°), sorted by position:
(2 2 0), 2θ 33.50, d = 2.675 Å, I 100; (4 0 0), 2θ 48.11, d = 1.891 Å, I 19; (4 2 2), 2θ 59.89, d = 1.544 Å, I 39; (4 4 0), 2θ 70.40, d = 1.337 Å, I 12; (6 2 0), 2θ 80.25, d = 1.196 Å, I 18; (4 4 4), 2θ 89.81, d = 1.092 Å, I 5

Cell: 7.566 7.566 7.566 Å, 90.00 90.00 90.00°
Space group Fm-3m (No. 225)
Asymmetric unit:
Pu 0.250 0.250 0.250
Sn 0.000 0.000 0.000
Hg 0.000 0.000 0.500

Record 2
Structure and calculated PXRD pattern of Rb3Hg20 (DFT lattice parameters and positions (GGA-PBE); a wavelength of 1.5418 Å).
Intensities are scaled so that the largest is 100.

The 6 most intense peaks (2θ from 15° to 90°), sorted by position:
(2 2 2), 2θ 26.69, d = 3.340 Å, I 38; (3 2 0), 2θ 27.80, d = 3.209 Å, I 49; (3 2 1), 2θ 28.87, d = 3.092 Å, I 45; (4 0 0), 2θ 30.92, d = 2.892 Å, I 93; (4 2 1), 2θ 35.56, d = 2.525 Å, I 100; (4 2 2), 2θ 38.11, d = 2.362 Å, I 68

Cell: 11.570 11.570 11.570 Å, 90.00 90.00 90.00°
Space group Pm-3n (No. 223)
Asymmetric unit:
Rb 0.000 0.250 0.500
Hg 0.000 0.000 0.000
Hg 0.000 0.259 0.133
Hg 0.000 0.500 0.250
Hg 0.250 0.250 0.250

Record 3
Structure and calculated PXRD pattern of RbHg2 (DFT lattice parameters and positions (GGA-PBE); a wavelength of 1.5418 Å).
Intensities are scaled so that the largest is 100.

The 6 most intense peaks (2θ from 15° to 90°), sorted by position:
(1 1 2), 2θ 26.68, d = 3.341 Å, I 55; (1 2 1), 2θ 27.96, d = 3.191 Å, I 74; (1 0 3), 2θ 32.11, d = 2.788 Å, I 100; (0 3 1), 2θ 32.38, d = 2.765 Å, I 58; (2 0 0), 2θ 33.13, d = 2.704 Å, I 55; (2 3 1), 2θ 47.01, d = 1.933 Å, I 41

Cell: 5.407 8.648 9.759 Å, 90.00 90.00 90.00°
Space group Imma (No. 74)
Asymmetric unit:
Rb 0.000 0.250 0.052
Hg 0.000 0.061 0.665

Record 4
Structure and calculated PXRD pattern of Rb2Hg7 (DFT lattice parameters and positions (GGA-PBE); a wavelength of 1.5418 Å).
Intensities are scaled so that the largest is 100.

The 6 most intense peaks (2θ from 15° to 90°), sorted by position:
(0 1 1), 2θ 19.26, d = 4.609 Å, I 17; (1 1 1), 2θ 27.93, d = 3.195 Å, I 28; (1 0 2), 2θ 29.90, d = 2.988 Å, I 29; (0 2 1), 2θ 31.43, d = 2.847 Å, I 100; (2 0 2), 2θ 39.09, d = 2.304 Å, I 39; (2 2 0), 2θ 50.43, d = 1.810 Å, I 25

Cell: 7.2390 7.2390 6.7987 Å, 90.00 90.00 120.00°
Space group P-3m1 (No. 164)
Asymmetric unit:
Rb 0.3333 0.6667 0.3478
Hg 0.0000 0.0000 0.5000
Hg 0.1800 0.3599 0.8372

Record 5
Structure and calculated PXRD pattern of Rb5Hg19 (DFT lattice parameters and positions (GGA-PBE); a wavelength of 1.5418 Å).
Intensities are scaled so that the largest is 100.

The 6 most intense peaks (2θ from 15° to 90°), sorted by position:
(0 0 2), 2θ 16.18, d = 5.478 Å, I 40; (1 2 1), 2θ 18.05, d = 4.914 Å, I 36; (3 1 2), 2θ 28.14, d = 3.171 Å, I 87; (1 2 3), 2θ 29.36, d = 3.042 Å, I 67; (2 4 0), 2θ 32.57, d = 2.749 Å, I 100; (3 1 4), 2θ 40.28, d = 2.239 Å, I 36

Cell: 12.295 12.295 10.956 Å, 90.00 90.00 90.00°
Space group I4/m (No. 87)
Asymmetric unit:
Rb 0.000 0.000 0.000
Rb 0.120 0.676 0.500
Hg 0.000 0.000 0.500
Hg 0.000 0.500 0.250
Hg 0.080 0.173 0.286
Hg 0.113 0.705 0.140

Record 6
Structure and calculated PXRD pattern of RbHg3 (DFT lattice parameters and positions (GGA-PBE); a wavelength of 1.5418 Å).
Intensities are scaled so that the largest is 100.

The 6 most intense peaks (2θ from 15° to 90°), sorted by position:
(2 0 0), 2θ 26.94, d = 3.310 Å, I 24; (2 0 1), 2θ 31.33, d = 2.855 Å, I 100; (0 0 2), 2θ 31.69, d = 2.823 Å, I 24; (2 2 0), 2θ 47.59, d = 1.911 Å, I 16; (2 0 3), 2θ 56.22, d = 1.636 Å, I 19; (2 2 2), 2θ 58.31, d = 1.582 Å, I 17

Cell: 7.6430 7.6430 5.6468 Å, 90.00 90.00 120.00°
Space group P6_3/mmc (No. 194)
Asymmetric unit:
Rb 0.3333 0.6667 0.2500
Hg 0.1448 0.2896 0.7500